For Re5Rh3, a DFT-relaxed cell (PBE, Alexandria) gives the theoretical X-ray diffraction stick pattern in this record (CuKα).
Lines closer than 0.1° are merged.

Main lines, low angle first (10 to 80 degrees two-theta):
37.4 deg, rel. 12; 37.7 deg, rel. 25; 41.0 deg, rel. 38; 42.8 deg, rel. 51; 43.1 deg, rel. 100; 56.9 deg, rel. 15; 67.6 deg, rel. 18; 68.2 deg, rel. 9; 75.9 deg, rel. 9; 76.1 deg, rel. 19

Atomic structure:
Lattice parameters (Å, degrees): 2.7489 6.5243 6.5243 84.90 90.00 90.00
Positions (direct):
Re 0.0000 0.0000 0.0000
Re 0.0000 0.0876 0.5810
Re 0.0000 0.4979 0.4979
Re 0.0000 0.5810 0.0876
Re 0.5000 0.2509 0.2509
Rh 0.5000 0.3316 0.8310
Rh 0.5000 0.7495 0.7495
Rh 0.5000 0.8310 0.3316